Entry 1:
For Ba2Al4Si3Pt, a DFT-relaxed cell (GGA-PBE, Alexandria) gives the calculated PXRD pattern in this record (copper Kα).
Intensities are scaled so that the largest is 100.

Top 6 peaks for 10° ≤ 2θ ≤ 90°, low angle first:
h k l  2θ/deg  intensity
1 0 1  21.4  60.4
1 0 3  32.1  54.8
1 1 2  32.8  100.0
2 0 0  40.0  42.7
2 1 3  52.2  27.4
3 1 2  68.1  24.1

Crystal structure
Lattice parameters (Å, degrees): 4.5072 4.5072 10.6374 90.00 90.00 90.00
Space group P-4m2 (No. 115)
Symmetry-distinct sites (fractional):
Ba (0.0000, 0.5000, 0.2472)
Al (0.0000, 0.0000, 0.5000)
Al (0.0000, 0.5000, 0.8845)
Al (0.5000, 0.5000, 0.5000)
Si (0.0000, 0.0000, 0.0000)
Si (0.0000, 0.5000, 0.6264)
Pt (0.5000, 0.5000, 0.0000)

Entry 2:
For K3AsH4, a DFT-relaxed cell (GGA-PBE, Alexandria) gives the calculated PXRD pattern in this record (copper Kα).
Intensities are scaled so that the largest is 100.

Top 6 peaks for 10° ≤ 2θ ≤ 90°, low angle first:
h k l  2θ/deg  intensity
0 0 1  13.4  87.1
1 1 1  24.2  88.9
2 0 -2  28.2  45.8
3 1 -1  30.7  100.0
0 2 0  34.0  41.6
3 1 1  35.7  48.4

Crystal structure
Lattice parameters (Å, degrees): 10.9608 5.2786 6.8140 90.00 103.53 90.00
Space group C2/m (No. 12)
Symmetry-distinct sites (fractional):
K (0.0000, 0.0000, 0.0000)
K (0.1839, 0.0000, 0.6043)
As (0.0000, 0.5000, 0.5000)
H (0.0982, 0.5000, 0.1260)
H (0.1195, 0.5000, 0.0240)

Entry 3:
For Rb4TeSe4, a DFT-relaxed cell (GGA-PBE, Alexandria) gives the calculated PXRD pattern in this record (copper Kα).
Intensities are scaled so that the largest is 100.

Top 6 peaks for 10° ≤ 2θ ≤ 90°, low angle first:
h k l  2θ/deg  intensity
1 0 1  15.4  39.3
0 0 2  25.9  63.8
1 3 0  27.0  100.0
1 3 2  37.8  80.8
4 2 0  38.6  29.2
4 2 2  47.0  32.8

Crystal structure
Lattice parameters (Å, degrees): 10.4362 10.4362 6.8826 90.00 90.00 90.00
Space group I4/m (No. 87)
Symmetry-distinct sites (fractional):
Rb (0.0881, 0.3001, 0.0000)
Te (0.0000, 0.0000, 0.5000)
Se (0.0848, 0.2506, 0.5000)

Entry 4:
For AlSe2O6, a DFT-relaxed cell (GGA-PBE, Alexandria) gives the calculated PXRD pattern in this record (copper Kα).
Intensities are scaled so that the largest is 100.

Top 6 peaks for 10° ≤ 2θ ≤ 90°, low angle first:
h k l  2θ/deg  intensity
1 0 1  21.5  100.0
0 0 6  27.8  37.2
1 0 4  28.0  50.8
0 1 5  31.4  69.2
1 1 0  36.7  29.1
1 1 6  46.7  19.0

Crystal structure
Lattice parameters (Å, degrees): 4.8964 4.8964 19.2662 90.00 90.00 120.00
Space group R3 (No. 146, hexagonal axes)
Symmetry-distinct sites (fractional):
Al (0.0000, 0.0000, 0.0000)
Se (0.0000, 0.0000, 0.2402)
Se (0.0000, 0.0000, 0.4266)
O (0.0038, 0.3639, 0.7260)
O (0.0035, 0.6405, 0.6074)

Entry 5:
For LiHfF5, a DFT-relaxed cell (GGA-PBE, Alexandria) gives the calculated PXRD pattern in this record (copper Kα).
Intensities are scaled so that the largest is 100.

Top 6 peaks for 10° ≤ 2θ ≤ 90°, low angle first:
h k l  2θ/deg  intensity
1 1 0  16.7  100.0
0 2 0  22.9  25.1
2 0 0  24.3  24.6
1 1 -2  24.9  46.4
2 0 -2  25.1  16.5
0 0 2  25.4  15.7

Crystal structure
Lattice parameters (Å, degrees): 8.4015 7.7533 8.0598 90.00 119.46 90.00
Space group C2/c (No. 15)
Symmetry-distinct sites (fractional):
Li (0.0000, 0.0970, 0.2500)
Hf (0.0000, 0.5000, 0.0000)
F (0.0000, 0.4341, 0.7500)
F (0.0117, 0.2543, 0.4391)
F (0.2293, 0.0120, 0.8585)

Entry 6:
For Pm2Pr6DyEr, a DFT-relaxed cell (GGA-PBE, Alexandria) gives the calculated PXRD pattern in this record (copper Kα).
Intensities are scaled so that the largest is 100.

Top 6 peaks for 10° ≤ 2θ ≤ 90°, low angle first:
h k l  2θ/deg  intensity
1 3 2  27.9  39.5
3 1 -1  29.8  100.0
1 5 0  30.4  45.2
2 4 -1  30.7  40.3
2 2 2  30.8  63.7
1 3 -3  32.9  41.6

Crystal structure
Lattice parameters (Å, degrees): 9.3047 15.4988 9.8357 90.00 98.24 90.00
Space group C2/c (No. 15)
Symmetry-distinct sites (fractional):
Pm (0.2466, 0.0494, 0.0438)
Pr (0.0613, 0.1808, 0.4463)
Pr (0.1018, 0.3945, 0.6180)
Pr (0.2097, 0.2206, 0.8095)
Dy (0.0000, 0.0227, 0.7500)
Er (0.0000, 0.4100, 0.2500)

Entry 7:
For Tb4NdTm6, a DFT-relaxed cell (GGA-PBE, Alexandria) gives the calculated PXRD pattern in this record (copper Kα).
Intensities are scaled so that the largest is 100.

Top 6 peaks for 10° ≤ 2θ ≤ 90°, low angle first:
h k l  2θ/deg  intensity
1 1 4  28.6  35.9
2 0 2  29.3  62.8
2 1 1  31.0  100.0
2 0 4  34.7  76.6
2 1 5  40.8  41.9
4 1 1  58.4  35.8

Crystal structure
Lattice parameters (Å, degrees): 6.5456 6.5456 16.9096 90.00 90.00 90.00
Space group I-42m (No. 121)
Symmetry-distinct sites (fractional):
Tb (0.1876, 0.1876, 0.3263)
Nd (0.0000, 0.0000, 0.5000)
Tm (0.0000, 0.5000, 0.0000)
Tm (0.1792, 0.1792, 0.1298)

Entry 8:
For K2In3F8, a DFT-relaxed cell (GGA-PBE, Alexandria) gives the calculated PXRD pattern in this record (copper Kα).
Intensities are scaled so that the largest is 100.

Top 6 peaks for 10° ≤ 2θ ≤ 90°, low angle first:
h k l  2θ/deg  intensity
2 0 0  14.5  100.0
3 1 0  25.8  17.5
2 0 -2  26.0  23.3
0 0 2  28.3  15.5
0 2 1  30.8  43.4
2 2 1  36.7  20.6

Crystal structure
Lattice parameters (Å, degrees): 13.3920 6.5294 6.9141 90.00 114.04 90.00
Space group C2/m (No. 12)
Symmetry-distinct sites (fractional):
K (0.1715, 0.0000, 0.0835)
In (0.0000, 0.2685, 0.5000)
In (0.0000, 0.5000, 0.0000)
F (0.0689, 0.2624, 0.2267)
F (0.1048, 0.0000, 0.6635)
F (0.1356, 0.5000, 0.9203)

Entry 9:
For Th2Sb2Se7, a DFT-relaxed cell (GGA-PBE, Alexandria) gives the calculated PXRD pattern in this record (copper Kα).
Intensities are scaled so that the largest is 100.

Top 6 peaks for 10° ≤ 2θ ≤ 90°, low angle first:
h k l  2θ/deg  intensity
0 2 2  22.3  55.3
1 2 1  25.8  63.9
1 4 1  32.3  100.0
1 0 3  36.3  54.1
1 6 1  41.1  44.7
1 4 3  42.9  48.1

Crystal structure
Lattice parameters (Å, degrees): 4.2027 16.1082 9.1729 90.00 90.00 90.00
Space group Imm2 (No. 44)
Symmetry-distinct sites (fractional):
Th (0.0000, 0.0000, 0.0000)
Th (0.0000, 0.5000, 0.0496)
Sb (0.0000, 0.2323, 0.7098)
Se (0.0000, 0.1247, 0.4861)
Se (0.0000, 0.1882, 0.0785)
Se (0.0000, 0.3993, 0.3227)
Se (0.0000, 0.5000, 0.7179)

Entry 10:
For PmSm5, a DFT-relaxed cell (GGA-PBE, Alexandria) gives the calculated PXRD pattern in this record (copper Kα).
Intensities are scaled so that the largest is 100.

Top 6 peaks for 10° ≤ 2θ ≤ 90°, low angle first:
h k l  2θ/deg  intensity
1 3 0  30.1  100.0
2 0 0  34.9  50.7
2 3 2  50.2  36.3
3 3 0  59.7  28.8
1 6 2  59.8  14.4
3 6 2  81.7  14.7

Crystal structure
Lattice parameters (Å, degrees): 5.1408 10.8816 7.2659 90.00 90.00 90.00
Space group Pmmn (No. 59, origin choice 2)
Symmetry-distinct sites (fractional):
Pm (0.2500, 0.2500, 0.1249)
Sm (0.2500, 0.2500, 0.6248)
Sm (0.2500, 0.5834, 0.1252)
Sm (0.2500, 0.5832, 0.6250)

Entry 11:
For MgCo2B4, a DFT-relaxed cell (GGA-PBE, Alexandria) gives the calculated PXRD pattern in this record (copper Kα).
Intensities are scaled so that the largest is 100.

Top 6 peaks for 10° ≤ 2θ ≤ 90°, low angle first:
h k l  2θ/deg  intensity
0 0 2  14.3  85.1
0 1 3  35.7  36.1
1 0 3  37.3  80.6
1 1 0  41.6  36.8
1 1 2  44.2  100.0
0 1 5  46.5  59.8

Crystal structure
Lattice parameters (Å, degrees): 2.9704 3.1732 12.4071 90.00 90.00 90.00
Space group Immm (No. 71)
Symmetry-distinct sites (fractional):
Mg (0.0000, 0.0000, 0.0000)
Co (0.0000, 0.5000, 0.3136)
B (0.0000, 0.0000, 0.4263)
B (0.0000, 0.5000, 0.1504)

Entry 12:
For K2ScF6, a DFT-relaxed cell (GGA-PBE, Alexandria) gives the calculated PXRD pattern in this record (copper Kα).
Intensities are scaled so that the largest is 100.

Top 6 peaks for 10° ≤ 2θ ≤ 90°, low angle first:
h k l  2θ/deg  intensity
1 0 1  19.2  28.8
1 0 2  26.0  34.8
1 1 0  28.5  40.7
2 0 1  34.6  26.8
2 0 2  39.0  100.0
2 2 0  59.0  27.3

Crystal structure
Lattice parameters (Å, degrees): 6.2617 6.2617 8.8344 90.00 90.00 120.00
Space group P6_3mc (No. 186)
Symmetry-distinct sites (fractional):
K (0.0000, 0.0000, 0.0000)
K (0.3333, 0.6667, 0.2501)
Sc (0.3333, 0.6667, 0.6687)
F (0.0373, 0.5186, 0.5237)
F (0.1663, 0.3325, 0.7664)